No. 1
Diffraction record for BaMgTiN3. The X-ray diffraction stick pattern is theoretical, not measured: it uses a cell relaxed with PBE and Cu Kα (weighted mean of Kα1 and Kα2).
Peak positions follow from Bragg's law for the DFT cell and can differ from measured ones.

Cell and atoms:
```
data_BaMgTiN3
_chemical_formula_sum 'Ba4 Mg4 Ti4 N12'
_symmetry_space_group_name_H-M 'C m c m'
_symmetry_Int_Tables_number 63
_symmetry_space_group_name_Hall '-C 2c 2'
_cell_length_a 5.726
_cell_length_b 10.685
_cell_length_c 5.650
_cell_angle_alpha 90.00
_cell_angle_beta 90.00
_cell_angle_gamma 90.00
loop_
_atom_site_label
_atom_site_fract_x
_atom_site_fract_y
_atom_site_fract_z
Ba1 0.000 0.244 0.250
Mg1 0.000 0.066 0.750
Ti1 0.000 0.444 0.750
N1 0.000 0.267 0.750
N2 0.238 0.500 0.000
```

Peak list (8 most intense, 2θ = 5–70°, by intensity)
- d 2.667, rel. 100, hkl 1 3 1
- d 3.764, rel. 47, hkl 1 1 1
- d 2.011, rel. 30, hkl 2 0 2
- d 2.863, rel. 27, hkl 2 0 0
- d 2.825, rel. 26, hkl 0 0 2
- d 1.612, rel. 17, hkl 3 3 1
- d 1.599, rel. 17, hkl 1 3 3
- d 2.524, rel. 14, hkl 2 2 0

***

No. 2
Diffraction record for SrPmSb2Pd2. The X-ray diffraction stick pattern is theoretical, not measured: it uses a cell relaxed with PBE and Cu Kα (weighted mean of Kα1 and Kα2).
Peak positions follow from Bragg's law for the DFT cell and can differ from measured ones.

Cell and atoms:
```
data_SrPmSb2Pd2
_chemical_formula_sum 'Sr1 Pm1 Sb2 Pd2'
_symmetry_space_group_name_H-M 'P -3 m 1'
_symmetry_Int_Tables_number 164
_symmetry_space_group_name_Hall '-P 3 2"'
_cell_length_a 4.5770
_cell_length_b 4.5770
_cell_length_c 8.6211
_cell_angle_alpha 90.00
_cell_angle_beta 90.00
_cell_angle_gamma 120.00
loop_
_atom_site_label
_atom_site_fract_x
_atom_site_fract_y
_atom_site_fract_z
Sr1 0.0000 0.0000 0.0000
Pm1 0.0000 0.0000 0.5000
Sb1 0.3333 0.6667 0.2648
Pd1 0.3333 0.6667 0.7289
```

Peak list (8 most intense, 2θ = 5–70°, by intensity)
- d 2.918, rel. 100, hkl 0 1 2
- d 2.289, rel. 58, hkl 1 1 0
- d 1.569, rel. 30, hkl 1 1 4
- d 1.801, rel. 24, hkl 2 0 2
- d 1.415, rel. 22, hkl 1 2 2
- d 2.155, rel. 14, hkl 0 0 4
- d 8.621, rel. 12, hkl 0 0 1
- d 4.311, rel. 10, hkl 0 0 2

***

No. 3
Diffraction record for K4SbBr6. The X-ray diffraction stick pattern is theoretical, not measured: it uses a cell relaxed with PBE and Cu Kα (weighted mean of Kα1 and Kα2).
Peak positions follow from Bragg's law for the DFT cell and can differ from measured ones.

Cell and atoms:
```
data_K4SbBr6
_chemical_formula_sum 'K8 Sb2 Br12'
_symmetry_space_group_name_H-M 'P 4/m n c'
_symmetry_Int_Tables_number 128
_symmetry_space_group_name_Hall '-P 4 2n'
_cell_length_a 9.205
_cell_length_b 9.205
_cell_length_c 9.251
_cell_angle_alpha 90.00
_cell_angle_beta 90.00
_cell_angle_gamma 90.00
loop_
_atom_site_label
_atom_site_fract_x
_atom_site_fract_y
_atom_site_fract_z
K1 0.165 0.335 0.250
Sb1 0.000 0.000 0.000
Br1 0.000 0.000 0.302
Br2 0.114 0.675 0.000
```

Peak list (8 most intense, 2θ = 5–70°, by intensity)
- d 2.911, rel. 100, hkl 3 1 0
- d 3.075, rel. 98, hkl 2 1 2
- d 6.519, rel. 51, hkl 1 1 0
- d 2.924, rel. 32, hkl 1 0 3
- d 1.811, rel. 26, hkl 3 1 4
- d 1.966, rel. 23, hkl 3 2 3
- d 2.059, rel. 23, hkl 4 2 0
- d 1.807, rel. 21, hkl 4 1 3

***

No. 4
Diffraction record for UHg2Br5. The X-ray diffraction stick pattern is theoretical, not measured: it uses a cell relaxed with PBE and Cu Kα (weighted mean of Kα1 and Kα2).
Peak positions follow from Bragg's law for the DFT cell and can differ from measured ones.

Cell and atoms:
```
data_UHg2Br5
_chemical_formula_sum 'U4 Hg8 Br20'
_symmetry_space_group_name_H-M 'C 1 2/c 1'
_symmetry_Int_Tables_number 15
_cell_length_a 19.455
_cell_length_b 7.736
_cell_length_c 10.460
_cell_angle_alpha 90.00
_cell_angle_beta 121.40
_cell_angle_gamma 90.00
loop_
_symmetry_equiv_pos_as_xyz
'x,y,z'
'-x,-y,-z'
'-x,y,-z+1/2'
'x,-y,z+1/2'
'x+1/2,y+1/2,z'
'-x+1/2,-y+1/2,-z'
'-x+1/2,y+1/2,-z+1/2'
'x+1/2,-y+1/2,z+1/2'
loop_
_atom_site_label
_atom_site_fract_x
_atom_site_fract_y
_atom_site_fract_z
U1 0.000 0.000 0.000
Hg1 0.207 0.439 0.481
Br1 0.000 0.153 0.250
Br2 0.079 0.278 0.657
Br3 0.139 0.158 0.090
```

Peak list (8 most intense, 2θ = 5–70°, by intensity)
- d 4.502, rel. 100, hkl 3 1 0
- d 4.464, rel. 67, hkl 0 0 2
- d 2.615, rel. 64, hkl 4 0 -4
- d 7.013, rel. 57, hkl 1 1 0
- d 2.923, rel. 53, hkl 0 2 2
- d 4.176, rel. 52, hkl 3 1 -2
- d 3.178, rel. 46, hkl 3 1 -3
- d 4.386, rel. 46, hkl 4 0 -2

***

No. 5
Diffraction record for Sr2InPd6. The X-ray diffraction stick pattern is theoretical, not measured: it uses a cell relaxed with PBE and Cu Kα (weighted mean of Kα1 and Kα2).
Peak positions follow from Bragg's law for the DFT cell and can differ from measured ones.

Cell and atoms:
```
data_Sr2InPd6
_chemical_formula_sum 'Sr4 In2 Pd12'
_symmetry_space_group_name_H-M 'C 1 2/m 1'
_symmetry_Int_Tables_number 12
_cell_length_a 10.169
_cell_length_b 5.926
_cell_length_c 6.414
_cell_angle_alpha 90.00
_cell_angle_beta 104.23
_cell_angle_gamma 90.00
loop_
_symmetry_equiv_pos_as_xyz
'x,y,z'
'-x,-y,-z'
'-x,y,-z'
'x,-y,z'
'x+1/2,y+1/2,z'
'-x+1/2,-y+1/2,-z'
'-x+1/2,y+1/2,-z'
'x+1/2,-y+1/2,z'
loop_
_atom_site_label
_atom_site_fract_x
_atom_site_fract_y
_atom_site_fract_z
Sr1 0.140 0.000 0.327
In1 0.000 0.500 0.500
Pd1 0.118 0.500 0.171
Pd2 0.139 0.236 0.824
```

Peak list (8 most intense, 2θ = 5–70°, by intensity)
- d 2.463, rel. 100, hkl 4 0 0
- d 2.253, rel. 71, hkl 2 2 1
- d 2.214, rel. 33, hkl 4 0 -2
- d 2.815, rel. 29, hkl 1 1 -2
- d 2.379, rel. 29, hkl 2 0 2
- d 1.471, rel. 26, hkl 6 2 -1
- d 2.101, rel. 20, hkl 2 2 -2
- d 5.079, rel. 19, hkl 1 1 0

***

No. 6
Diffraction record for Pr4Sm15Dy. The X-ray diffraction stick pattern is theoretical, not measured: it uses a cell relaxed with PBE and Cu Kα (weighted mean of Kα1 and Kα2).
Peak positions follow from Bragg's law for the DFT cell and can differ from measured ones.

Cell and atoms:
```
data_Pr4Sm15Dy
_chemical_formula_sum 'Pr4 Sm15 Dy1'
_symmetry_space_group_name_H-M 'P 4/m m m'
_symmetry_Int_Tables_number 123
_symmetry_space_group_name_Hall '-P 4 2'
_cell_length_a 5.152
_cell_length_b 5.152
_cell_length_c 25.728
_cell_angle_alpha 90.00
_cell_angle_beta 90.00
_cell_angle_gamma 90.00
loop_
_atom_site_label
_atom_site_fract_x
_atom_site_fract_y
_atom_site_fract_z
Pr1 0.000 0.000 0.100
Pr2 0.000 0.000 0.301
Sm1 0.000 0.500 0.000
Sm2 0.000 0.500 0.201
Sm3 0.000 0.500 0.402
Sm4 0.500 0.500 0.100
Sm5 0.500 0.500 0.301
Sm6 0.500 0.500 0.500
Dy1 0.000 0.000 0.500
```

Peak list (5 most intense, 2θ = 5–70°, by intensity)
- d 2.973, rel. 100, hkl 1 1 5
- d 2.575, rel. 51, hkl 2 0 0
- d 1.553, rel. 43, hkl 3 1 5
- d 1.821, rel. 36, hkl 2 2 0
- d 1.487, rel. 12, hkl 2 2 10

***

No. 7
Diffraction record for Tm4CoTe. The X-ray diffraction stick pattern is theoretical, not measured: it uses a cell relaxed with PBE and Cu Kα (weighted mean of Kα1 and Kα2).
Peak positions follow from Bragg's law for the DFT cell and can differ from measured ones.

Cell and atoms:
```
data_Tm4CoTe
_chemical_formula_sum 'Tm16 Co4 Te4'
_symmetry_space_group_name_H-M 'P n m a'
_symmetry_Int_Tables_number 62
_cell_length_a 8.097
_cell_length_b 3.836
_cell_length_c 19.117
_cell_angle_alpha 90.00
_cell_angle_beta 90.00
_cell_angle_gamma 90.00
loop_
_symmetry_equiv_pos_as_xyz
'x,y,z'
'-x,-y,-z'
'-x+1/2,-y,z+1/2'
'x+1/2,y,-z+1/2'
'x+1/2,-y+1/2,-z+1/2'
'-x+1/2,y+1/2,z+1/2'
'-x,y+1/2,-z'
'x,-y+1/2,z'
loop_
_atom_site_label
_atom_site_fract_x
_atom_site_fract_y
_atom_site_fract_z
Tm1 0.014 0.250 0.067
Tm2 0.045 0.750 0.215
Tm3 0.139 0.750 0.645
Tm4 0.144 0.750 0.455
Co1 0.239 0.250 0.550
Te1 0.244 0.250 0.313
```

Peak list (8 most intense, 2θ = 5–70°, by intensity)
- d 2.806, rel. 100, hkl 1 1 4
- d 2.782, rel. 69, hkl 2 0 5
- d 2.552, rel. 57, hkl 2 1 3
- d 2.672, rel. 40, hkl 3 0 1
- d 1.918, rel. 34, hkl 0 2 0
- d 2.708, rel. 32, hkl 0 1 5
- d 2.588, rel. 30, hkl 1 0 7
- d 2.349, rel. 22, hkl 3 0 4